The following is a theoretical powder X-ray diffraction pattern of Pa2CoPbO8. It was derived from a structure optimized by DFT (PBE+U), using copper Kα.
No peak broadening, texture or thermal motion is included.

Main lines, in order of rising 2θ (2θ from 10° to 80°):
- 2θ = 12.77°, rel. 16, hkl 0 0 1
- 2θ = 23.75°, rel. 100, hkl 0 1 1
- 2θ = 32.74°, rel. 58, hkl 1 0 2
- 2θ = 34.89°, rel. 65, hkl 1 1 0
- 2θ = 42.65°, rel. 34, hkl 2 0 1
- 2θ = 48.60°, rel. 29, hkl 0 2 2
- 2θ = 53.30°, rel. 20, hkl 1 1 3
- 2θ = 56.24°, rel. 21, hkl 1 2 1
- 2θ = 57.03°, rel. 15, hkl 0 1 4
- 2θ = 61.21°, rel. 21, hkl 2 1 2

Structural model:
```
Pa2CoPbO8
1.0
5.1424 0.0000 0.0000
-2.5712 4.4535 0.0000
0.0000 0.0000 6.9317
Pa Co Pb O
2 1 1 8
Direct
0.3333 0.6667 0.3614
0.6667 0.3333 0.6386
0.0000 0.0000 0.5000
0.0000 0.0000 0.0000
0.1701 0.3402 0.6498
0.1701 0.8299 0.6498
0.3333 0.6667 0.0851
0.3402 0.1701 0.3502
0.6598 0.8299 0.6498
0.6667 0.3333 0.9149
0.8299 0.1701 0.3502
0.8299 0.6598 0.3502
```